Simulated powder diffraction line list of Tl4BrCl for Cu Kα, 1.54184 Å, from a cell relaxed with GGA-PBE.
Peak positions follow from Bragg's law for the DFT cell and can differ from measured ones.

Crystal structure
```
Tl4BrCl
1.0
0.0000 4.6437 4.6437
4.6437 0.0000 4.6437
4.6437 4.6437 0.0000
Tl Br Cl
4 1 1
Direct
0.1251 0.1251 0.1251 Tl
0.1251 0.1251 0.6247 Tl
0.1251 0.6247 0.1251 Tl
0.6247 0.1251 0.1251 Tl
0.7500 0.7500 0.7500 Br
0.5000 0.5000 0.5000 Cl
```

Peak list (10 most intense, 2θ = 5–70°, by angle)
2theta, d [Å], Rel. int.
16.5, 5.362, 67
32.0, 2.800, 100
33.4, 2.681, 81
38.8, 2.322, 30
42.4, 2.131, 20
51.1, 1.787, 36
56.0, 1.642, 37
58.8, 1.570, 16
66.0, 1.416, 13
66.8, 1.400, 34